Record 1
This entry pairs a crystal structure of Li4Dy3NpTe8 with its calculated XRD peak list. Radiation: Cu Kα (weighted mean of Kα1 and Kα2). Structure: a cell relaxed with GGA-PBE.
Peak positions follow from Bragg's law for the DFT cell and can differ from measured ones.

Largest 10 diffraction maxima, in order of rising 2θ, 10° ≤ 2θ ≤ 80°:
- 2θ = 12.5°, rel. 34, hkl 0 0 3
- 2θ = 23.9°, rel. 27, hkl 0 2 1
- 2θ = 29.1°, rel. 100, hkl 0 2 4
- 2θ = 31.8°, rel. 15, hkl 2 0 5
- 2θ = 41.4°, rel. 38, hkl 2 2 0
- 2θ = 41.7°, rel. 37, hkl 2 0 8
- 2θ = 51.4°, rel. 20, hkl 4 0 4
- 2θ = 68.1°, rel. 17, hkl 2 4 4
- 2θ = 68.4°, rel. 17, hkl 2 2 12
- 2θ = 75.7°, rel. 13, hkl 4 2 8

Atomic structure:
```
data_Li4Dy3NpTe8
_cell_length_a 8.7165
_cell_length_b 8.7165
_cell_length_c 21.1781
_cell_angle_alpha 90.00
_cell_angle_beta 90.00
_cell_angle_gamma 120.00
_space_group_name_H-M_alt 'R -3 m'
_space_group_IT_number 166
_space_group_name_Hall '-R 3 2"'
loop_
_atom_site_label
_atom_site_fract_x
_atom_site_fract_y
_atom_site_fract_z
Li1 0.0000 0.0000 0.0000
Li2 0.0000 0.5000 0.0000
Dy1 0.0000 0.5000 0.5000
Np1 0.0000 0.0000 0.5000
Te1 0.0000 0.0000 0.2517
Te2 0.0037 0.5018 0.7478
```

Record 2
This entry pairs a crystal structure of La7Pr12Dy with its calculated XRD peak list. Radiation: Cu Kα (weighted mean of Kα1 and Kα2). Structure: a cell relaxed with GGA-PBE.
Peak positions follow from Bragg's law for the DFT cell and can differ from measured ones.

Largest 10 diffraction maxima, in order of rising 2θ, 10° ≤ 2θ ≤ 80°:
- 2θ = 28.7°, rel. 32, hkl 1 0 4
- 2θ = 30.1°, rel. 43, hkl 3 1 2
- 2θ = 30.4°, rel. 100, hkl 4 0 1
- 2θ = 32.7°, rel. 27, hkl 0 4 2
- 2θ = 33.1°, rel. 20, hkl 3 2 1
- 2θ = 48.0°, rel. 17, hkl 3 0 6
- 2θ = 52.5°, rel. 15, hkl 4 4 0
- 2θ = 54.3°, rel. 19, hkl 4 3 4
- 2θ = 55.1°, rel. 17, hkl 0 7 2
- 2θ = 61.9°, rel. 10, hkl 0 8 1

Atomic structure:
```
data_La7Pr12Dy
_cell_length_a 13.9475
_cell_length_b 13.9475
_cell_length_c 12.8952
_cell_angle_alpha 90.00
_cell_angle_beta 90.00
_cell_angle_gamma 120.00
_space_group_name_H-M_alt 'R -3 m'
_space_group_IT_number 166
_space_group_name_Hall '-R 3 2"'
loop_
_atom_site_label
_atom_site_fract_x
_atom_site_fract_y
_atom_site_fract_z
La1 0.0000 0.0000 0.0000
La2 0.0462 0.5231 0.1128
Pr1 0.0000 0.2585 0.0000
Pr2 0.0880 0.1760 0.7638
Dy1 0.0000 0.0000 0.5000
```

Record 3
This entry pairs a crystal structure of SiNi2Rh with its calculated XRD peak list. Radiation: Cu Kα (weighted mean of Kα1 and Kα2). Structure: a cell relaxed with GGA-PBE.
Peak positions follow from Bragg's law for the DFT cell and can differ from measured ones.

Largest 10 diffraction maxima, in order of rising 2θ, 10° ≤ 2θ ≤ 80°:
- 2θ = 24.3°, rel. 18, hkl 1 0 0
- 2θ = 30.6°, rel. 18, hkl 1 0 2
- 2θ = 37.1°, rel. 13, hkl 0 0 4
- 2θ = 42.3°, rel. 100, hkl 1 1 1
- 2θ = 43.4°, rel. 50, hkl 0 1 3
- 2θ = 44.9°, rel. 72, hkl 1 0 4
- 2θ = 49.8°, rel. 30, hkl 2 0 0
- 2θ = 50.4°, rel. 15, hkl 1 1 3
- 2θ = 58.4°, rel. 12, hkl 0 1 5
- 2θ = 68.2°, rel. 25, hkl 2 1 3

Atomic structure:
```
data_SiNi2Rh
_cell_length_a 3.6606
_cell_length_b 2.7320
_cell_length_c 9.6891
_cell_angle_alpha 90.00
_cell_angle_beta 90.00
_cell_angle_gamma 90.00
_space_group_name_H-M_alt 'A m m 2'
_space_group_IT_number 38
_space_group_name_Hall 'A 2 -2'
loop_
_atom_site_label
_atom_site_fract_x
_atom_site_fract_y
_atom_site_fract_z
Si1 0.0000 0.0000 0.0000
Ni1 0.0000 0.0000 0.7423
Ni2 0.5000 0.0000 0.1400
Rh1 0.5000 0.0000 0.4015
```

Record 4
This entry pairs a crystal structure of Ba2CaGa2O6 with its calculated XRD peak list. Radiation: Cu Kα (weighted mean of Kα1 and Kα2). Structure: a cell relaxed with GGA-PBE.
Peak positions follow from Bragg's law for the DFT cell and can differ from measured ones.

Largest 10 diffraction maxima, in order of rising 2θ, 10° ≤ 2θ ≤ 80°:
- 2θ = 14.6°, rel. 26, hkl 0 0 3
- 2θ = 29.4°, rel. 100, hkl 1 1 0
- 2θ = 29.8°, rel. 88, hkl 0 1 5
- 2θ = 33.0°, rel. 19, hkl 1 1 3
- 2θ = 42.4°, rel. 37, hkl 2 0 5
- 2θ = 52.2°, rel. 19, hkl 3 0 0
- 2θ = 52.5°, rel. 37, hkl 1 2 5
- 2θ = 53.2°, rel. 14, hkl 1 0 10
- 2θ = 61.1°, rel. 19, hkl 2 2 0
- 2θ = 69.4°, rel. 17, hkl 3 1 5

Atomic structure:
```
data_Ba2CaGa2O6
_cell_length_a 6.0685
_cell_length_b 6.0685
_cell_length_c 18.2169
_cell_angle_alpha 90.00
_cell_angle_beta 90.00
_cell_angle_gamma 120.00
_space_group_name_H-M_alt 'R -3 m'
_space_group_IT_number 166
_space_group_name_Hall '-R 3 2"'
loop_
_atom_site_label
_atom_site_fract_x
_atom_site_fract_y
_atom_site_fract_z
Ba1 0.0000 0.0000 0.2064
Ca1 0.0000 0.0000 0.0000
Ga1 0.0000 0.0000 0.4195
O1 0.0067 0.5034 0.7551
```

Record 5
This entry pairs a crystal structure of PmEr3Bi2 with its calculated XRD peak list. Radiation: Cu Kα (weighted mean of Kα1 and Kα2). Structure: a cell relaxed with GGA-PBE.
Peak positions follow from Bragg's law for the DFT cell and can differ from measured ones.

Largest 10 diffraction maxima, in order of rising 2θ, 10° ≤ 2θ ≤ 80°:
- 2θ = 27.6°, rel. 26, hkl 1 1 0
- 2θ = 29.5°, rel. 84, hkl 1 1 1
- 2θ = 31.2°, rel. 43, hkl 0 0 3
- 2θ = 34.7°, rel. 100, hkl 1 1 2
- 2θ = 39.5°, rel. 61, hkl 2 0 0
- 2θ = 51.1°, rel. 44, hkl 2 0 3
- 2θ = 57.0°, rel. 21, hkl 2 2 0
- 2θ = 61.0°, rel. 19, hkl 1 1 5
- 2θ = 66.4°, rel. 20, hkl 2 2 3
- 2θ = 68.5°, rel. 35, hkl 3 1 2

Atomic structure:
```
data_PmEr3Bi2
_cell_length_a 4.5678
_cell_length_b 4.5678
_cell_length_c 8.6017
_cell_angle_alpha 90.00
_cell_angle_beta 90.00
_cell_angle_gamma 90.00
_space_group_name_H-M_alt 'P -4 m 2'
_space_group_IT_number 115
_space_group_name_Hall 'P -4 -2'
loop_
_atom_site_label
_atom_site_fract_x
_atom_site_fract_y
_atom_site_fract_z
Pm1 0.0000 0.0000 0.0000
Er1 0.0000 0.5000 0.3434
Er2 0.5000 0.5000 0.0000
Bi1 0.0000 0.5000 0.7104
```

Record 6
This entry pairs a crystal structure of HoTmCdCu with its calculated XRD peak list. Radiation: Cu Kα (weighted mean of Kα1 and Kα2). Structure: a cell relaxed with GGA-PBE.
Peak positions follow from Bragg's law for the DFT cell and can differ from measured ones.

Largest 10 diffraction maxima, in order of rising 2θ, 10° ≤ 2θ ≤ 80°:
- 2θ = 25.7°, rel. 10, hkl 1 0 0
- 2θ = 28.3°, rel. 8, hkl 1 0 1
- 2θ = 35.0°, rel. 100, hkl 1 0 2
- 2θ = 36.6°, rel. 48, hkl 1 1 0
- 2θ = 47.8°, rel. 8, hkl 0 0 4
- 2θ = 51.8°, rel. 7, hkl 1 1 3
- 2θ = 52.7°, rel. 17, hkl 2 0 0
- 2θ = 61.7°, rel. 14, hkl 1 1 4
- 2θ = 64.9°, rel. 32, hkl 2 1 2
- 2θ = 73.9°, rel. 8, hkl 2 0 4

Atomic structure:
```
data_HoTmCdCu
_cell_length_a 3.4714
_cell_length_b 3.4714
_cell_length_c 7.6158
_cell_angle_alpha 90.00
_cell_angle_beta 90.00
_cell_angle_gamma 90.00
_space_group_name_H-M_alt 'P 4 m m'
_space_group_IT_number 99
_space_group_name_Hall 'P 4 -2'
loop_
_atom_site_label
_atom_site_fract_x
_atom_site_fract_y
_atom_site_fract_z
Ho1 0.0000 0.0000 0.0000
Tm1 0.0000 0.0000 0.5588
Cd1 0.5000 0.5000 0.2822
Cu1 0.5000 0.5000 0.7744
```

Record 7
This entry pairs a crystal structure of CaNp2O11 with its calculated XRD peak list. Radiation: Cu Kα (weighted mean of Kα1 and Kα2). Structure: a cell relaxed with GGA-PBE.
Peak positions follow from Bragg's law for the DFT cell and can differ from measured ones.

Largest 10 diffraction maxima, in order of rising 2θ, 10° ≤ 2θ ≤ 80°:
- 2θ = 16.7°, rel. 100, hkl 0 0 1
- 2θ = 17.0°, rel. 80, hkl 0 2 0
- 2θ = 20.3°, rel. 54, hkl 2 0 0
- 2θ = 23.9°, rel. 95, hkl 0 2 1
- 2θ = 26.4°, rel. 62, hkl 2 0 1
- 2θ = 26.6°, rel. 82, hkl 2 2 0
- 2θ = 31.6°, rel. 70, hkl 2 2 1
- 2θ = 43.5°, rel. 40, hkl 2 2 2
- 2θ = 43.9°, rel. 41, hkl 2 4 1
- 2θ = 48.3°, rel. 30, hkl 4 2 1

Atomic structure:
```
data_CaNp2O11
_cell_length_a 8.7358
_cell_length_b 10.4354
_cell_length_c 5.3184
_cell_angle_alpha 90.00
_cell_angle_beta 90.00
_cell_angle_gamma 90.00
_space_group_name_H-M_alt 'C m m m'
_space_group_IT_number 65
_space_group_name_Hall '-C 2 2'
loop_
_atom_site_label
_atom_site_fract_x
_atom_site_fract_y
_atom_site_fract_z
Ca1 0.0000 0.0000 0.0000
Np1 0.2500 0.2500 0.5000
O1 0.0000 0.3514 0.5000
O2 0.0000 0.5000 0.5000
O3 0.1692 0.1400 0.2546
```

Record 8
This entry pairs a crystal structure of LaHo3Rh4 with its calculated XRD peak list. Radiation: Cu Kα (weighted mean of Kα1 and Kα2). Structure: a cell relaxed with GGA-PBE.
Peak positions follow from Bragg's law for the DFT cell and can differ from measured ones.

Largest 10 diffraction maxima, in order of rising 2θ, 10° ≤ 2θ ≤ 80°:
- 2θ = 25.8°, rel. 9, hkl 1 0 4
- 2θ = 36.6°, rel. 100, hkl 0 1 8
- 2θ = 36.8°, rel. 100, hkl 1 1 0
- 2θ = 45.5°, rel. 2, hkl 0 2 4
- 2θ = 52.9°, rel. 35, hkl 2 0 8
- 2θ = 65.9°, rel. 17, hkl 1 0 16
- 2θ = 66.2°, rel. 35, hkl 1 2 8
- 2θ = 66.4°, rel. 18, hkl 3 0 0
- 2θ = 77.9°, rel. 11, hkl 0 2 16
- 2θ = 78.4°, rel. 11, hkl 2 2 0

Atomic structure:
```
data_LaHo3Rh4
_cell_length_a 4.8791
_cell_length_b 4.8791
_cell_length_c 24.0908
_cell_angle_alpha 90.00
_cell_angle_beta 90.00
_cell_angle_gamma 120.00
_space_group_name_H-M_alt 'R -3 m'
_space_group_IT_number 166
_space_group_name_Hall '-R 3 2"'
loop_
_atom_site_label
_atom_site_fract_x
_atom_site_fract_y
_atom_site_fract_z
La1 0.0000 0.0000 0.0000
Ho1 0.0000 0.0000 0.2474
Ho2 0.0000 0.0000 0.5000
Rh1 0.0000 0.0000 0.1272
Rh2 0.0000 0.0000 0.3779
```

Record 9
This entry pairs a crystal structure of Er6Pt5Au with its calculated XRD peak list. Radiation: Cu Kα (weighted mean of Kα1 and Kα2). Structure: a cell relaxed with GGA-PBE.
Peak positions follow from Bragg's law for the DFT cell and can differ from measured ones.

Largest 6 diffraction maxima, in order of rising 2θ, 10° ≤ 2θ ≤ 80°:
- 2θ = 25.6°, rel. 1, hkl 0 2 0
- 2θ = 36.5°, rel. 100, hkl 2 0 0
- 2θ = 52.6°, rel. 18, hkl 2 0 6
- 2θ = 65.7°, rel. 36, hkl 3 2 3
- 2θ = 77.5°, rel. 10, hkl 4 0 0
- 2θ = 77.7°, rel. 2, hkl 0 0 12

Atomic structure:
```
data_Er6Pt5Au
_cell_length_a 4.9273
_cell_length_b 6.9647
_cell_length_c 14.7532
_cell_angle_alpha 90.00
_cell_angle_beta 90.00
_cell_angle_gamma 90.00
_space_group_name_H-M_alt 'I m m m'
_space_group_IT_number 71
_space_group_name_Hall '-I 2 2'
loop_
_atom_site_label
_atom_site_fract_x
_atom_site_fract_y
_atom_site_fract_z
Er1 0.0000 0.2439 0.0000
Er2 0.0000 0.2532 0.3313
Pt1 0.0000 0.0000 0.1684
Pt2 0.0000 0.5000 0.1645
Pt3 0.0000 0.5000 0.5000
Au1 0.0000 0.0000 0.5000
```

Record 10
This entry pairs a crystal structure of Tm5ZrHg6 with its calculated XRD peak list. Radiation: Cu Kα (weighted mean of Kα1 and Kα2). Structure: a cell relaxed with GGA-PBE.
Peak positions follow from Bragg's law for the DFT cell and can differ from measured ones.

Largest 10 diffraction maxima, in order of rising 2θ, 10° ≤ 2θ ≤ 80°:
- 2θ = 34.7°, rel. 67, hkl 1 2 1
- 2θ = 34.8°, rel. 100, hkl 1 2 -2
- 2θ = 34.9°, rel. 33, hkl 2 0 -1
- 2θ = 49.8°, rel. 12, hkl 0 4 0
- 2θ = 49.9°, rel. 12, hkl 2 0 2
- 2θ = 50.3°, rel. 12, hkl 2 0 -4
- 2θ = 62.2°, rel. 25, hkl 0 4 3
- 2θ = 62.3°, rel. 13, hkl 2 4 -1
- 2θ = 62.4°, rel. 25, hkl 3 2 0
- 2θ = 62.6°, rel. 12, hkl 3 2 -3

Atomic structure:
```
data_Tm5ZrHg6
_cell_length_a 5.1396
_cell_length_b 7.3237
_cell_length_c 8.1341
_cell_angle_alpha 90.00
_cell_angle_beta 107.99
_cell_angle_gamma 90.00
_space_group_name_H-M_alt 'P 1 2/m 1'
_space_group_IT_number 10
_space_group_name_Hall '-P 2y'
loop_
_atom_site_label
_atom_site_fract_x
_atom_site_fract_y
_atom_site_fract_z
Tm1 0.0000 0.0000 0.0000
Tm2 0.3321 0.0000 0.6650
Tm3 0.3370 0.5000 0.6757
Zr1 0.0000 0.5000 0.0000
Hg1 0.1675 0.2524 0.3338
Hg2 0.5000 0.2462 0.0000
```

Record 11
This entry pairs a crystal structure of KTl6Hg6 with its calculated XRD peak list. Radiation: Cu Kα (weighted mean of Kα1 and Kα2). Structure: a cell relaxed with GGA-PBE.
Peak positions follow from Bragg's law for the DFT cell and can differ from measured ones.

Largest 10 diffraction maxima, in order of rising 2θ, 10° ≤ 2θ ≤ 80°:
- 2θ = 15.2°, rel. 17, hkl 1 1 0
- 2θ = 26.5°, rel. 27, hkl 2 0 0
- 2θ = 30.6°, rel. 40, hkl 2 2 0
- 2θ = 31.6°, rel. 61, hkl 2 0 2
- 2θ = 34.4°, rel. 18, hkl 0 0 4
- 2θ = 35.2°, rel. 100, hkl 0 4 2
- 2θ = 37.8°, rel. 36, hkl 1 1 4
- 2θ = 50.0°, rel. 17, hkl 3 3 2
- 2θ = 54.5°, rel. 57, hkl 4 0 0
- 2θ = 59.9°, rel. 19, hkl 2 0 6

Atomic structure:
```
data_KTl6Hg6
_cell_length_a 6.7326
_cell_length_b 11.6808
_cell_length_c 10.4313
_cell_angle_alpha 90.00
_cell_angle_beta 90.00
_cell_angle_gamma 90.00
_space_group_name_H-M_alt 'C m m m'
_space_group_IT_number 65
_space_group_name_Hall '-C 2 2'
loop_
_atom_site_label
_atom_site_fract_x
_atom_site_fract_y
_atom_site_fract_z
K1 0.0000 0.0000 0.0000
Tl1 0.0000 0.5000 0.2530
Tl2 0.2500 0.2500 0.2529
Hg1 0.0000 0.0000 0.3529
Hg2 0.0000 0.3335 0.0000
Hg3 0.0000 0.3335 0.5000
```

Record 12
This entry pairs a crystal structure of BaP2S6 with its calculated XRD peak list. Radiation: Cu Kα (weighted mean of Kα1 and Kα2). Structure: a cell relaxed with GGA-PBE.
Peak positions follow from Bragg's law for the DFT cell and can differ from measured ones.

Largest 10 diffraction maxima, in order of rising 2θ, 10° ≤ 2θ ≤ 80°:
- 2θ = 19.0°, rel. 90, hkl 1 1 1
- 2θ = 20.4°, rel. 31, hkl 1 3 0
- 2θ = 22.5°, rel. 100, hkl 3 1 0
- 2θ = 23.5°, rel. 95, hkl 2 2 -1
- 2θ = 25.5°, rel. 38, hkl 0 4 0
- 2θ = 25.9°, rel. 69, hkl 2 2 1
- 2θ = 31.8°, rel. 81, hkl 1 1 -2
- 2θ = 33.7°, rel. 49, hkl 4 2 -1
- 2θ = 36.9°, rel. 40, hkl 1 5 1
- 2θ = 46.2°, rel. 30, hkl 5 3 1

Atomic structure:
```
data_BaP2S6
_cell_length_a 12.4448
_cell_length_b 13.9803
_cell_length_c 5.7707
_cell_angle_alpha 90.00
_cell_angle_beta 97.55
_cell_angle_gamma 90.00
_space_group_name_H-M_alt 'C 1 2/c 1'
_space_group_IT_number 15
_space_group_name_Hall '-C 2yc'
loop_
_atom_site_label
_atom_site_fract_x
_atom_site_fract_y
_atom_site_fract_z
Ba1 0.0000 0.1359 0.2500
P1 0.2131 0.4259 0.2015
S1 0.1225 0.0813 0.7725
S2 0.1334 0.3144 0.0633
S3 0.1563 0.4422 0.5316
```